This entry pairs a crystal structure of Rb2TiWO6 with its calculated powder diffractogram. Radiation: Cu Kα (weighted mean of Kα1 and Kα2). Structure: a DFT-relaxed cell (GGA+U, Alexandria).

Most intense lines, 2θ from 10° to 90°, in order of falling intensity:
d [Å]	two_theta	I/Imax
3.163	28.21	100.0
4.864	18.24	32.1
2.689	33.32	28.5
1.630	56.46	28.1
2.848	31.41	21.0
1.955	46.44	20.4
1.699	53.98	19.5
1.902	47.83	18.9
1.267	74.97	13.9
1.581	58.35	13.8

Crystal structure
a = 6.849 Å, b = 6.849 Å, c = 6.849 Å
α = 133.76°, β = 133.76°, γ = 67.47°
Sites, in units of the cell vectors:
Rb (0.000, 0.500, 0.500)
Rb (0.500, 0.000, 0.500)
Ti (0.253, 0.253, 0.000)
W (0.757, 0.757, 0.000)
O (0.044, 0.044, 0.491)
O (0.044, 0.552, 0.000)
O (0.103, 0.103, 0.000)
O (0.552, 0.044, 0.000)
O (0.552, 0.552, 0.509)
O (0.599, 0.599, 0.000)